No. 1
Starting from DFT lattice parameters and positions (PBE), the powder diffraction line list of Pm3Zn6Rh5 was simulated for Cu Kα, 1.54184 Å.
No peak broadening, texture or thermal motion is included.

```
data_Pm3Zn6Rh5
_cell_length_a 4.1847
_cell_length_b 12.6878
_cell_length_c 9.5382
_cell_angle_alpha 90.00
_cell_angle_beta 90.00
_cell_angle_gamma 90.00
_symmetry_space_group_name_H-M 'P 1'
_symmetry_Int_Tables_number 1
loop_
_symmetry_equiv_pos_as_xyz
'x,y,z'
loop_
_atom_site_label
_atom_site_fract_x
_atom_site_fract_y
_atom_site_fract_z
Pm1 0.2500 0.0603 0.2461
Pm2 0.2500 0.4397 0.2461
Pm3 0.2500 0.7500 0.2629
Pm4 0.7500 0.2500 0.7371
Pm5 0.7500 0.5603 0.7539
Pm6 0.7500 0.9397 0.7539
Zn1 0.2500 0.0685 0.5871
Zn2 0.2500 0.2500 0.0296
Zn3 0.2500 0.2500 0.4342
Zn4 0.2500 0.4315 0.5871
Zn5 0.2500 0.6010 0.9846
Zn6 0.2500 0.8990 0.9846
Zn7 0.7500 0.1010 0.0154
Zn8 0.7500 0.3990 0.0154
Zn9 0.7500 0.5685 0.4129
Zn10 0.7500 0.7500 0.5658
Zn11 0.7500 0.7500 0.9704
Zn12 0.7500 0.9315 0.4129
Rh1 0.2500 0.0904 0.8588
Rh2 0.2500 0.4096 0.8588
Rh3 0.2500 0.6368 0.5384
Rh4 0.2500 0.7500 0.7889
Rh5 0.2500 0.8632 0.5384
Rh6 0.7500 0.1368 0.4616
Rh7 0.7500 0.2500 0.2111
Rh8 0.7500 0.3632 0.4616
Rh9 0.7500 0.5904 0.1412
Rh10 0.7500 0.9096 0.1412
```

Peak list (10 most intense, 15° ≤ 2θ ≤ 90°, in order of falling intensity)
| two_theta | I (rel.) |
| --- | --- |
| 35.57 | 100 |
| 43.24 | 41 |
| 35.46 | 33 |
| 30.04 | 26 |
| 42.76 | 24 |
| 41.60 | 23 |
| 35.32 | 23 |
| 38.28 | 17 |
| 74.30 | 15 |
| 33.94 | 14 |

=====

No. 2
Starting from DFT lattice parameters and positions (PBE), the powder diffraction line list of Pm3Zn2Rh was simulated for Cu Kα, 1.54184 Å.
No peak broadening, texture or thermal motion is included.

```
data_Pm3Zn2Rh
_cell_length_a 12.3461
_cell_length_b 4.5402
_cell_length_c 10.6587
_cell_angle_alpha 90.00
_cell_angle_beta 90.00
_cell_angle_gamma 90.00
_symmetry_space_group_name_H-M 'P 1'
_symmetry_Int_Tables_number 1
loop_
_symmetry_equiv_pos_as_xyz
'x,y,z'
loop_
_atom_site_label
_atom_site_fract_x
_atom_site_fract_y
_atom_site_fract_z
Pm1 0.0565 0.2500 0.1111
Pm2 0.1093 0.7500 0.5600
Pm3 0.2371 0.2500 0.7890
Pm4 0.2629 0.7500 0.2890
Pm5 0.3907 0.2500 0.0600
Pm6 0.4435 0.7500 0.6111
Pm7 0.5565 0.2500 0.3889
Pm8 0.6093 0.7500 0.9400
Pm9 0.7371 0.2500 0.7110
Pm10 0.7629 0.7500 0.2110
Pm11 0.8907 0.2500 0.4400
Pm12 0.9435 0.7500 0.8889
Zn1 0.0094 0.7500 0.2925
Zn2 0.2021 0.7500 0.9945
Zn3 0.2979 0.2500 0.4945
Zn4 0.4906 0.2500 0.7925
Zn5 0.5094 0.7500 0.2075
Zn6 0.7021 0.7500 0.5055
Zn7 0.7979 0.2500 0.0055
Zn8 0.9906 0.2500 0.7075
Rh1 0.1166 0.2500 0.3665
Rh2 0.3834 0.7500 0.8665
Rh3 0.6166 0.2500 0.1335
Rh4 0.8834 0.7500 0.6335
```

Peak list (10 most intense, 15° ≤ 2θ ≤ 90°, in order of falling intensity)
| two_theta | I (rel.) |
| --- | --- |
| 31.99 | 100 |
| 36.19 | 59 |
| 39.70 | 55 |
| 25.75 | 38 |
| 33.87 | 37 |
| 30.49 | 29 |
| 29.62 | 24 |
| 27.38 | 23 |
| 33.55 | 22 |
| 41.95 | 21 |

=====

No. 3
Starting from DFT lattice parameters and positions (PBE), the powder diffraction line list of Pm7Ru3 was simulated for Cu Kα, 1.54184 Å.
No peak broadening, texture or thermal motion is included.

```
data_Pm7Ru3
_cell_length_a 10.0151
_cell_length_b 10.0151
_cell_length_c 6.3190
_cell_angle_alpha 90.00
_cell_angle_beta 90.00
_cell_angle_gamma 120.00
_symmetry_space_group_name_H-M 'P 1'
_symmetry_Int_Tables_number 1
loop_
_symmetry_equiv_pos_as_xyz
'x,y,z'
loop_
_atom_site_label
_atom_site_fract_x
_atom_site_fract_y
_atom_site_fract_z
Pm1 0.0827 0.5413 0.0000
Pm2 0.1249 0.2498 0.6929
Pm3 0.1249 0.8751 0.6929
Pm4 0.2498 0.1249 0.1929
Pm5 0.3333 0.6667 0.4652
Pm6 0.4587 0.5413 0.0000
Pm7 0.4587 0.9173 0.0000
Pm8 0.5413 0.0827 0.5000
Pm9 0.5413 0.4587 0.5000
Pm10 0.6667 0.3333 0.9652
Pm11 0.7502 0.8751 0.6929
Pm12 0.8751 0.1249 0.1929
Pm13 0.8751 0.7502 0.1929
Pm14 0.9173 0.4587 0.5000
Ru1 0.1864 0.3728 0.2550
Ru2 0.1864 0.8136 0.2550
Ru3 0.3728 0.1864 0.7550
Ru4 0.6272 0.8136 0.2550
Ru5 0.8136 0.1864 0.7550
Ru6 0.8136 0.6272 0.7550
```

Peak list (10 most intense, 15° ≤ 2θ ≤ 90°, in order of falling intensity)
| two_theta | I (rel.) |
| --- | --- |
| 30.73 | 100 |
| 34.10 | 53 |
| 35.14 | 48 |
| 30.10 | 47 |
| 35.87 | 40 |
| 53.85 | 27 |
| 54.50 | 24 |
| 47.98 | 23 |
| 54.89 | 22 |
| 30.93 | 18 |

=====

No. 4
Starting from DFT lattice parameters and positions (PBE), the powder diffraction line list of Pm2Ru3 was simulated for Cu Kα, 1.54184 Å.
No peak broadening, texture or thermal motion is included.

```
data_Pm2Ru3
_cell_length_a 5.7277
_cell_length_b 5.7277
_cell_length_c 7.2841
_cell_angle_alpha 90.00
_cell_angle_beta 90.00
_cell_angle_gamma 117.34
_symmetry_space_group_name_H-M 'P 1'
_symmetry_Int_Tables_number 1
loop_
_symmetry_equiv_pos_as_xyz
'x,y,z'
loop_
_atom_site_label
_atom_site_fract_x
_atom_site_fract_y
_atom_site_fract_z
Pm1 0.1662 0.8338 0.9012
Pm2 0.3338 0.6662 0.4012
Pm3 0.6662 0.3338 0.5988
Pm4 0.8338 0.1662 0.0988
Ru1 0.0000 0.0000 0.5000
Ru2 0.1702 0.3298 0.7500
Ru3 0.3298 0.1702 0.2500
Ru4 0.5000 0.5000 0.0000
Ru5 0.6702 0.8298 0.7500
Ru6 0.8298 0.6702 0.2500
```

Peak list (10 most intense, 15° ≤ 2θ ≤ 90°, in order of falling intensity)
| two_theta | I (rel.) |
| --- | --- |
| 33.66 | 100 |
| 37.45 | 66 |
| 30.18 | 66 |
| 39.07 | 46 |
| 41.52 | 42 |
| 38.83 | 32 |
| 62.24 | 26 |
| 62.37 | 24 |
| 55.65 | 24 |
| 65.22 | 22 |

=====

No. 5
Starting from DFT lattice parameters and positions (PBE), the powder diffraction line list of Pm3Ru was simulated for Cu Kα, 1.54184 Å.
No peak broadening, texture or thermal motion is included.

```
data_Pm3Ru
_cell_length_a 11.8107
_cell_length_b 11.8107
_cell_length_c 6.5006
_cell_angle_alpha 90.00
_cell_angle_beta 90.00
_cell_angle_gamma 90.00
_symmetry_space_group_name_H-M 'P 1'
_symmetry_Int_Tables_number 1
loop_
_symmetry_equiv_pos_as_xyz
'x,y,z'
loop_
_atom_site_label
_atom_site_fract_x
_atom_site_fract_y
_atom_site_fract_z
Pm1 0.0315 0.5968 0.1913
Pm2 0.0968 0.9685 0.6913
Pm3 0.1108 0.6689 0.6897
Pm4 0.1203 0.1904 0.0232
Pm5 0.1689 0.8892 0.1897
Pm6 0.1904 0.3797 0.4768
Pm7 0.3096 0.1203 0.4768
Pm8 0.3311 0.6108 0.1897
Pm9 0.3797 0.3096 0.0232
Pm10 0.3892 0.8311 0.6897
Pm11 0.4032 0.5315 0.6913
Pm12 0.4685 0.9032 0.1913
Pm13 0.5315 0.0968 0.8087
Pm14 0.5968 0.4685 0.3087
Pm15 0.6108 0.1689 0.3103
Pm16 0.6203 0.6904 0.9768
Pm17 0.6689 0.3892 0.8103
Pm18 0.6904 0.8797 0.5232
Pm19 0.8096 0.6203 0.5232
Pm20 0.8311 0.1108 0.8103
Pm21 0.8797 0.8096 0.9768
Pm22 0.8892 0.3311 0.3103
Pm23 0.9032 0.0315 0.3087
Pm24 0.9685 0.4032 0.8087
Ru1 0.0541 0.1843 0.5051
Ru2 0.1843 0.4459 0.9949
Ru3 0.3157 0.0541 0.9949
Ru4 0.4459 0.3157 0.5051
Ru5 0.5541 0.6843 0.4949
Ru6 0.6843 0.9459 0.0051
Ru7 0.8157 0.5541 0.0051
Ru8 0.9459 0.8157 0.4949
```

Peak list (10 most intense, 15° ≤ 2θ ≤ 90°, in order of falling intensity)
| two_theta | I (rel.) |
| --- | --- |
| 36.66 | 100 |
| 33.94 | 90 |
| 30.56 | 71 |
| 29.49 | 67 |
| 34.21 | 48 |
| 35.05 | 43 |
| 56.90 | 30 |
| 27.54 | 29 |
| 30.27 | 24 |
| 35.83 | 23 |

=====

No. 6
Starting from DFT lattice parameters and positions (PBE), the powder diffraction line list of PmRuS was simulated for Cu Kα, 1.54184 Å.
No peak broadening, texture or thermal motion is included.

```
data_PmRuS
_cell_length_a 5.6383
_cell_length_b 5.6383
_cell_length_c 5.6383
_cell_angle_alpha 78.97
_cell_angle_beta 78.97
_cell_angle_gamma 78.97
_symmetry_space_group_name_H-M 'P 1'
_symmetry_Int_Tables_number 1
loop_
_symmetry_equiv_pos_as_xyz
'x,y,z'
loop_
_atom_site_label
_atom_site_fract_x
_atom_site_fract_y
_atom_site_fract_z
Pm1 0.0000 0.3601 0.6399
Pm2 0.3601 0.6399 0.0000
Pm3 0.6399 0.0000 0.3601
Ru1 0.1365 0.1365 0.1365
Ru2 0.5000 0.5000 0.5000
Ru3 0.8635 0.8635 0.8635
S1 0.1604 0.8396 0.5000
S2 0.5000 0.1604 0.8396
S3 0.8396 0.5000 0.1604
```

Peak list (10 most intense, 15° ≤ 2θ ≤ 90°, in order of falling intensity)
| two_theta | I (rel.) |
| --- | --- |
| 34.27 | 100 |
| 43.73 | 41 |
| 24.83 | 23 |
| 56.70 | 21 |
| 74.24 | 17 |
| 66.54 | 17 |
| 47.51 | 9 |
| 54.34 | 6 |
| 79.78 | 6 |
| 80.34 | 6 |

=====

No. 7
Starting from DFT lattice parameters and positions (PBE), the powder diffraction line list of Pm4SbRu2 was simulated for Cu Kα, 1.54184 Å.
No peak broadening, texture or thermal motion is included.

```
data_Pm4SbRu2
_cell_length_a 8.2632
_cell_length_b 8.2632
_cell_length_c 6.4484
_cell_angle_alpha 104.90
_cell_angle_beta 104.90
_cell_angle_gamma 110.44
_symmetry_space_group_name_H-M 'P 1'
_symmetry_Int_Tables_number 1
loop_
_symmetry_equiv_pos_as_xyz
'x,y,z'
loop_
_atom_site_label
_atom_site_fract_x
_atom_site_fract_y
_atom_site_fract_z
Pm1 0.0619 0.9381 0.5000
Pm2 0.3472 0.5162 0.1338
Pm3 0.4396 0.7935 0.7269
Pm4 0.5162 0.3472 0.6338
Pm5 0.6651 0.9959 0.3834
Pm6 0.7935 0.4396 0.2269
Pm7 0.9381 0.0619 0.0000
Pm8 0.9959 0.6651 0.8834
Sb1 0.1090 0.3575 0.5610
Sb2 0.3575 0.1090 0.0610
Ru1 0.2897 0.8723 0.3070
Ru2 0.7013 0.7087 0.0487
Ru3 0.7087 0.7013 0.5487
Ru4 0.8723 0.2897 0.8070
```

Peak list (10 most intense, 15° ≤ 2θ ≤ 90°, in order of falling intensity)
| two_theta | I (rel.) |
| --- | --- |
| 34.22 | 100 |
| 29.20 | 68 |
| 33.07 | 58 |
| 34.75 | 57 |
| 30.58 | 53 |
| 28.65 | 47 |
| 33.83 | 42 |
| 34.32 | 38 |
| 38.73 | 36 |
| 45.12 | 23 |

=====

No. 8
Starting from DFT lattice parameters and positions (PBE), the powder diffraction line list of Pm12SbRu6 was simulated for Cu Kα, 1.54184 Å.
No peak broadening, texture or thermal motion is included.

```
data_Pm12SbRu6
_cell_length_a 8.7519
_cell_length_b 8.7519
_cell_length_c 8.7519
_cell_angle_alpha 109.47
_cell_angle_beta 109.47
_cell_angle_gamma 109.47
_symmetry_space_group_name_H-M 'P 1'
_symmetry_Int_Tables_number 1
loop_
_symmetry_equiv_pos_as_xyz
'x,y,z'
loop_
_atom_site_label
_atom_site_fract_x
_atom_site_fract_y
_atom_site_fract_z
Pm1 0.1023 0.8042 0.2981
Pm2 0.1958 0.2981 0.4939
Pm3 0.1958 0.7019 0.8977
Pm4 0.2981 0.1023 0.8042
Pm5 0.2981 0.4939 0.1958
Pm6 0.4939 0.1958 0.2981
Pm7 0.5061 0.8042 0.7019
Pm8 0.7019 0.5061 0.8042
Pm9 0.7019 0.8977 0.1958
Pm10 0.8042 0.2981 0.1023
Pm11 0.8042 0.7019 0.5061
Pm12 0.8977 0.1958 0.7019
Sb1 0.0000 0.0000 0.0000
Ru1 0.1211 0.6211 0.5000
Ru2 0.3789 0.5000 0.8789
Ru3 0.5000 0.1211 0.6211
Ru4 0.5000 0.8789 0.3789
Ru5 0.6211 0.5000 0.1211
Ru6 0.8789 0.3789 0.5000
```

Peak list (10 most intense, 15° ≤ 2θ ≤ 90°, in order of falling intensity)
| two_theta | I (rel.) |
| --- | --- |
| 33.17 | 100 |
| 30.65 | 45 |
| 56.10 | 30 |
| 45.78 | 27 |
| 52.82 | 25 |
| 35.53 | 21 |
| 65.29 | 20 |
| 82.03 | 17 |
| 27.92 | 15 |
| 54.48 | 13 |

=====

No. 9
Starting from DFT lattice parameters and positions (PBE), the powder diffraction line list of PmSc5Ru4 was simulated for Cu Kα, 1.54184 Å.
No peak broadening, texture or thermal motion is included.

```
data_PmSc5Ru4
_cell_length_a 3.2417
_cell_length_b 3.2417
_cell_length_c 18.1559
_cell_angle_alpha 90.00
_cell_angle_beta 90.00
_cell_angle_gamma 90.00
_symmetry_space_group_name_H-M 'P 1'
_symmetry_Int_Tables_number 1
loop_
_symmetry_equiv_pos_as_xyz
'x,y,z'
loop_
_atom_site_label
_atom_site_fract_x
_atom_site_fract_y
_atom_site_fract_z
Pm1 0.0000 0.0000 0.0000
Sc1 0.5000 0.5000 0.1531
Sc2 0.5000 0.5000 0.3261
Sc3 0.5000 0.5000 0.5000
Sc4 0.5000 0.5000 0.6739
Sc5 0.5000 0.5000 0.8469
Ru1 0.0000 0.0000 0.2321
Ru2 0.0000 0.0000 0.4114
Ru3 0.0000 0.0000 0.5886
Ru4 0.0000 0.0000 0.7679
```

Peak list (10 most intense, 15° ≤ 2θ ≤ 90°, in order of falling intensity)
| two_theta | I (rel.) |
| --- | --- |
| 37.18 | 100 |
| 39.31 | 87 |
| 40.79 | 46 |
| 27.52 | 42 |
| 24.52 | 31 |
| 69.86 | 30 |
| 33.98 | 29 |
| 56.80 | 29 |
| 46.87 | 22 |
| 72.26 | 15 |

=====

No. 10
Starting from DFT lattice parameters and positions (PBE), the powder diffraction line list of Pm4RuSe3 was simulated for Cu Kα, 1.54184 Å.
No peak broadening, texture or thermal motion is included.

```
data_Pm4RuSe3
_cell_length_a 7.3595
_cell_length_b 7.3595
_cell_length_c 4.1178
_cell_angle_alpha 90.00
_cell_angle_beta 90.00
_cell_angle_gamma 107.77
_symmetry_space_group_name_H-M 'P 1'
_symmetry_Int_Tables_number 1
loop_
_symmetry_equiv_pos_as_xyz
'x,y,z'
loop_
_atom_site_label
_atom_site_fract_x
_atom_site_fract_y
_atom_site_fract_z
Pm1 0.2310 0.7690 0.0000
Pm2 0.2345 0.2345 0.5000
Pm3 0.7655 0.7655 0.5000
Pm4 0.7690 0.2310 0.0000
Ru1 0.0000 0.0000 0.0000
Se1 0.0000 0.5000 0.5000
Se2 0.5000 0.0000 0.5000
Se3 0.5000 0.5000 0.0000
```

Peak list (10 most intense, 15° ≤ 2θ ≤ 90°, in order of falling intensity)
| two_theta | I (rel.) |
| --- | --- |
| 29.92 | 100 |
| 42.93 | 69 |
| 30.06 | 47 |
| 41.64 | 20 |
| 52.21 | 19 |
| 54.19 | 18 |
| 43.98 | 18 |
| 70.59 | 15 |
| 70.81 | 12 |
| 62.17 | 12 |

=====

No. 11
Starting from DFT lattice parameters and positions (PBE), the powder diffraction line list of Pm2Si7Ru12 was simulated for Cu Kα, 1.54184 Å.
No peak broadening, texture or thermal motion is included.

```
data_Pm2Si7Ru12
_cell_length_a 9.6482
_cell_length_b 9.6482
_cell_length_c 3.9547
_cell_angle_alpha 90.00
_cell_angle_beta 90.00
_cell_angle_gamma 120.00
_symmetry_space_group_name_H-M 'P 1'
_symmetry_Int_Tables_number 1
loop_
_symmetry_equiv_pos_as_xyz
'x,y,z'
loop_
_atom_site_label
_atom_site_fract_x
_atom_site_fract_y
_atom_site_fract_z
Pm1 0.0000 0.0000 0.0000
Pm2 0.3333 0.6667 0.5000
Si1 0.0623 0.6251 0.0000
Si2 0.2630 0.0427 0.5000
Si3 0.3749 0.4372 0.0000
Si4 0.5628 0.9377 0.0000
Si5 0.6667 0.3333 0.5000
Si6 0.7797 0.7370 0.5000
Si7 0.9573 0.2203 0.5000
Ru1 0.0403 0.7638 0.5000
Ru2 0.0972 0.3818 0.0000
Ru3 0.2362 0.2765 0.5000
Ru4 0.2845 0.9028 0.0000
Ru5 0.4584 0.2352 0.0000
Ru6 0.5156 0.0585 0.5000
Ru7 0.5429 0.4844 0.5000
Ru8 0.6182 0.7155 0.0000
Ru9 0.7235 0.9597 0.5000
Ru10 0.7648 0.2232 0.0000
Ru11 0.7768 0.5416 0.0000
Ru12 0.9415 0.4572 0.5000
```

Peak list (10 most intense, 15° ≤ 2θ ≤ 90°, in order of falling intensity)
| two_theta | I (rel.) |
| --- | --- |
| 36.41 | 100 |
| 45.89 | 20 |
| 45.36 | 16 |
| 28.26 | 14 |
| 50.02 | 12 |
| 43.31 | 12 |
| 38.86 | 10 |
| 78.65 | 10 |
| 47.43 | 10 |
| 29.20 | 10 |

=====

No. 12
Starting from DFT lattice parameters and positions (PBE), the powder diffraction line list of PmZn2SiRu was simulated for Cu Kα, 1.54184 Å.
No peak broadening, texture or thermal motion is included.

```
data_PmZn2SiRu
_cell_length_a 6.2334
_cell_length_b 6.2334
_cell_length_c 6.2334
_cell_angle_alpha 143.56
_cell_angle_beta 141.42
_cell_angle_gamma 54.11
_symmetry_space_group_name_H-M 'P 1'
_symmetry_Int_Tables_number 1
loop_
_symmetry_equiv_pos_as_xyz
'x,y,z'
loop_
_atom_site_label
_atom_site_fract_x
_atom_site_fract_y
_atom_site_fract_z
Pm1 0.0000 0.0000 0.0000
Zn1 0.6157 0.6157 0.0000
Zn2 0.7589 0.2589 0.5000
Si1 0.3880 0.3880 0.0000
Ru1 0.2641 0.7641 0.5000
```

Peak list (10 most intense, 15° ≤ 2θ ≤ 90°, in order of falling intensity)
| two_theta | I (rel.) |
| --- | --- |
| 35.60 | 100 |
| 32.53 | 28 |
| 43.97 | 21 |
| 33.39 | 18 |
| 46.60 | 18 |
| 75.38 | 16 |
| 32.25 | 14 |
| 59.70 | 14 |
| 47.10 | 13 |
| 66.00 | 12 |